[1]
Sc2Si7Ir12: theoretical PXRD pattern (Cu Kα (weighted mean of Kα1 and Kα2)), based on a DFT-relaxed cell (PBE, Alexandria).

Largest 10 diffraction maxima, by angle, 2θ from 15° to 90°:
18.28 deg, d 4.853, intensity 23.0
28.09 deg, d 3.177, intensity 19.7
36.74 deg, d 2.446, intensity 100.0
45.54 deg, d 1.992, intensity 20.1
47.13 deg, d 1.928, intensity 26.3
47.44 deg, d 1.917, intensity 18.1
49.46 deg, d 1.843, intensity 12.4
49.70 deg, d 1.834, intensity 15.2
69.10 deg, d 1.359, intensity 17.1
84.56 deg, d 1.146, intensity 12.8

Atomic structure:
Unit cell a=9.706 b=9.706 c=3.833 alpha=90.00 beta=90.00 gamma=120.00
Positions (direct):
Sc 0.000 0.000 0.000
Sc 0.333 0.667 0.500
Si 0.076 0.452 0.000
Si 0.257 0.215 0.500
Si 0.376 0.924 0.000
Si 0.548 0.624 0.000
Si 0.667 0.333 0.000
Si 0.785 0.042 0.500
Si 0.958 0.743 0.500
Ir 0.050 0.271 0.500
Ir 0.112 0.711 0.000
Ir 0.222 0.950 0.500
Ir 0.289 0.401 0.000
Ir 0.394 0.182 0.000
Ir 0.527 0.444 0.500
Ir 0.556 0.084 0.500
Ir 0.599 0.888 0.000
Ir 0.729 0.778 0.500
Ir 0.788 0.606 0.000
Ir 0.818 0.212 0.000
Ir 0.916 0.473 0.500



[2]
K5Si2S6: theoretical PXRD pattern (Cu Kα (weighted mean of Kα1 and Kα2)), based on a DFT-relaxed cell (PBE, Alexandria).

Largest 10 diffraction maxima, by angle, 2θ from 15° to 90°:
16.23 deg, d 5.460, intensity 38.4
26.11 deg, d 3.412, intensity 100.0
27.04 deg, d 3.297, intensity 99.2
27.77 deg, d 3.213, intensity 62.9
28.72 deg, d 3.108, intensity 99.7
29.98 deg, d 2.981, intensity 70.6
31.44 deg, d 2.845, intensity 50.4
33.40 deg, d 2.683, intensity 40.2
35.18 deg, d 2.551, intensity 35.3
43.62 deg, d 2.075, intensity 37.5

Atomic structure:
Unit cell a=7.402 b=7.402 c=16.561 alpha=99.72 beta=99.72 gamma=65.28
Positions (direct):
K 0.137 0.863 0.750
K 0.186 0.715 0.001
K 0.245 0.438 0.276
K 0.285 0.814 0.499
K 0.438 0.245 0.776
K 0.562 0.755 0.224
K 0.715 0.186 0.501
K 0.755 0.562 0.724
K 0.814 0.285 0.999
K 0.863 0.137 0.250
Si 0.140 0.410 0.573
Si 0.410 0.140 0.073
Si 0.590 0.860 0.927
Si 0.860 0.590 0.427
S 0.103 0.201 0.637
S 0.136 0.305 0.435
S 0.201 0.103 0.137
S 0.305 0.136 0.935
S 0.391 0.475 0.624
S 0.475 0.391 0.124
S 0.525 0.609 0.876
S 0.609 0.525 0.376
S 0.695 0.864 0.065
S 0.799 0.897 0.863
S 0.864 0.695 0.565
S 0.897 0.799 0.363



[3]
AgBi: theoretical PXRD pattern (Cu Kα (weighted mean of Kα1 and Kα2)), based on a DFT-relaxed cell (PBE, Alexandria).

Largest 10 diffraction maxima, by angle, 2θ from 15° to 90°:
24.21 deg, d 3.676, intensity 29.0
25.55 deg, d 3.487, intensity 43.6
27.66 deg, d 3.225, intensity 31.7
28.76 deg, d 3.105, intensity 30.9
29.38 deg, d 3.040, intensity 38.8
36.15 deg, d 2.485, intensity 100.0
37.73 deg, d 2.384, intensity 77.4
38.01 deg, d 2.367, intensity 99.4
38.81 deg, d 2.321, intensity 48.6
66.43 deg, d 1.407, intensity 30.4

Atomic structure:
Unit cell a=3.487 b=12.899 c=7.084 alpha=90.00 beta=90.00 gamma=90.00
Positions (direct):
Ag 0.000 0.000 0.000
Ag 0.000 0.500 0.500
Ag 0.500 0.110 0.272
Ag 0.500 0.390 0.772
Ag 0.500 0.610 0.772
Ag 0.500 0.890 0.272
Bi 0.000 0.000 0.583
Bi 0.000 0.231 0.977
Bi 0.000 0.269 0.477
Bi 0.000 0.500 0.083
Bi 0.000 0.731 0.477
Bi 0.000 0.769 0.977



[4]
Li4Ho3GeS8: theoretical PXRD pattern (Cu Kα (weighted mean of Kα1 and Kα2)), based on a DFT-relaxed cell (PBE, Alexandria).

Largest 10 diffraction maxima, by angle, 2θ from 15° to 90°:
27.21 deg, d 3.277, intensity 67.9
28.50 deg, d 3.132, intensity 20.0
33.20 deg, d 2.699, intensity 100.0
36.36 deg, d 2.471, intensity 31.0
43.85 deg, d 2.065, intensity 19.8
47.27 deg, d 1.923, intensity 35.6
48.04 deg, d 1.894, intensity 34.1
49.68 deg, d 1.835, intensity 27.4
58.98 deg, d 1.566, intensity 18.1
78.82 deg, d 1.214, intensity 15.4

Atomic structure:
Unit cell a=7.578 b=7.578 c=7.578 alpha=61.00 beta=61.00 gamma=61.00
Positions (direct):
Li 0.000 0.000 0.000
Li 0.000 0.500 0.500
Li 0.500 0.000 0.500
Li 0.500 0.500 0.000
Ho 0.000 0.000 0.500
Ho 0.000 0.500 0.000
Ho 0.500 0.000 0.000
Ge 0.500 0.500 0.500
S 0.251 0.251 0.251
S 0.258 0.258 0.739
S 0.258 0.739 0.258
S 0.261 0.742 0.742
S 0.739 0.258 0.258
S 0.742 0.261 0.742
S 0.742 0.742 0.261
S 0.749 0.749 0.749



[5]
Ac2NdSmEr: theoretical PXRD pattern (Cu Kα (weighted mean of Kα1 and Kα2)), based on a DFT-relaxed cell (PBE, Alexandria).

Largest 10 diffraction maxima, by angle, 2θ from 15° to 90°:
27.54 deg, d 3.239, intensity 24.9
27.67 deg, d 3.224, intensity 100.0
28.07 deg, d 3.179, intensity 28.4
31.34 deg, d 2.854, intensity 19.3
32.22 deg, d 2.778, intensity 21.2
33.17 deg, d 2.701, intensity 20.5
35.89 deg, d 2.502, intensity 22.2
38.35 deg, d 2.347, intensity 22.2
43.51 deg, d 2.080, intensity 17.6
48.77 deg, d 1.867, intensity 21.7

Atomic structure:
Unit cell a=6.478 b=8.872 c=6.811 alpha=90.00 beta=90.00 gamma=90.00
Positions (direct):
Ac 0.250 0.206 0.211
Ac 0.250 0.794 0.211
Ac 0.750 0.206 0.789
Ac 0.750 0.794 0.789
Nd 0.250 0.500 0.914
Nd 0.750 0.500 0.086
Sm 0.250 0.000 0.683
Sm 0.750 0.000 0.317
Er 0.000 0.500 0.500
Er 0.500 0.500 0.500



[6]
ScAgHgF6: theoretical PXRD pattern (Cu Kα (weighted mean of Kα1 and Kα2)), based on a DFT-relaxed cell (PBE, Alexandria).

Largest 10 diffraction maxima, by angle, 2θ from 15° to 90°:
19.54 deg, d 4.544, intensity 45.0
25.25 deg, d 3.527, intensity 100.0
30.08 deg, d 2.970, intensity 51.9
32.74 deg, d 2.735, intensity 18.6
35.45 deg, d 2.532, intensity 18.1
39.67 deg, d 2.272, intensity 29.0
48.49 deg, d 1.877, intensity 49.4
50.58 deg, d 1.805, intensity 29.1
53.43 deg, d 1.715, intensity 21.6
68.58 deg, d 1.368, intensity 17.8

Atomic structure:
Unit cell a=5.941 b=5.941 c=9.689 alpha=90.00 beta=90.00 gamma=120.00
Positions (direct):
Sc 0.333 0.667 0.250
Sc 0.667 0.333 0.750
Ag 0.000 0.000 0.000
Ag 0.000 0.000 0.500
Hg 0.333 0.667 0.750
Hg 0.667 0.333 0.250
F 0.038 0.381 0.136
F 0.038 0.657 0.364
F 0.343 0.381 0.364
F 0.343 0.962 0.136
F 0.381 0.038 0.636
F 0.381 0.343 0.864
F 0.619 0.657 0.136
F 0.619 0.962 0.364
F 0.657 0.038 0.864
F 0.657 0.619 0.636
F 0.962 0.343 0.636
F 0.962 0.619 0.864



[7]
LaTb3Nd4: theoretical PXRD pattern (Cu Kα (weighted mean of Kα1 and Kα2)), based on a DFT-relaxed cell (PBE, Alexandria).

Largest 10 diffraction maxima, by angle, 2θ from 15° to 90°:
30.04 deg, d 2.975, intensity 100.0
34.82 deg, d 2.576, intensity 50.7
50.06 deg, d 1.822, intensity 30.2
50.11 deg, d 1.820, intensity 6.0
59.50 deg, d 1.554, intensity 43.2
62.43 deg, d 1.487, intensity 12.4
81.36 deg, d 1.183, intensity 8.8
81.46 deg, d 1.182, intensity 8.8
83.96 deg, d 1.153, intensity 8.2
84.03 deg, d 1.152, intensity 8.2

Atomic structure:
Unit cell a=10.302 b=7.295 c=7.281 alpha=90.00 beta=90.00 gamma=90.00
Positions (direct):
La 0.000 0.000 0.000
La 0.500 0.000 0.500
Tb 0.000 0.500 0.500
Tb 0.250 0.253 0.250
Tb 0.250 0.747 0.750
Tb 0.500 0.500 0.000
Tb 0.750 0.253 0.250
Tb 0.750 0.747 0.750
Nd 0.000 0.000 0.500
Nd 0.000 0.500 0.000
Nd 0.250 0.253 0.750
Nd 0.250 0.747 0.250
Nd 0.500 0.000 0.000
Nd 0.500 0.500 0.500
Nd 0.750 0.253 0.750
Nd 0.750 0.747 0.250



[8]
MnIn5: theoretical PXRD pattern (Cu Kα (weighted mean of Kα1 and Kα2)), based on a DFT-relaxed cell (PBE, Alexandria).

Largest 10 diffraction maxima, by angle, 2θ from 15° to 90°:
24.54 deg, d 3.628, intensity 4.9
32.26 deg, d 2.775, intensity 23.4
32.37 deg, d 2.765, intensity 30.3
36.22 deg, d 2.480, intensity 100.0
46.35 deg, d 1.959, intensity 16.6
57.53 deg, d 1.602, intensity 16.4
60.27 deg, d 1.536, intensity 21.6
67.57 deg, d 1.386, intensity 22.4
69.90 deg, d 1.346, intensity 13.5
88.12 deg, d 1.109, intensity 7.4

Atomic structure:
Unit cell a=5.550 b=5.550 c=5.531 alpha=90.00 beta=90.00 gamma=120.00
Positions (direct):
Mn 0.000 0.000 0.000
In 0.000 0.677 0.500
In 0.323 0.323 0.500
In 0.333 0.667 0.000
In 0.667 0.333 0.000
In 0.677 0.000 0.500



[9]
NaLiCdAu: theoretical PXRD pattern (Cu Kα (weighted mean of Kα1 and Kα2)), based on a DFT-relaxed cell (PBE, Alexandria).

Largest 10 diffraction maxima, by angle, 2θ from 15° to 90°:
22.60 deg, d 3.934, intensity 100.0
36.76 deg, d 2.445, intensity 76.1
38.42 deg, d 2.343, intensity 33.7
42.10 deg, d 2.146, intensity 20.3
45.03 deg, d 2.013, intensity 33.5
55.46 deg, d 1.657, intensity 11.4
58.28 deg, d 1.583, intensity 11.7
65.08 deg, d 1.433, intensity 10.5
68.38 deg, d 1.372, intensity 18.1
74.12 deg, d 1.279, intensity 7.8

Atomic structure:
Unit cell a=8.618 b=4.686 c=4.686 alpha=90.00 beta=122.81 gamma=90.00
Positions (direct):
Na 0.000 0.000 0.000
Na 0.500 0.500 0.000
Li 0.250 0.000 0.750
Li 0.750 0.500 0.750
Cd 0.000 0.500 0.500
Cd 0.500 0.000 0.500
Au 0.250 0.500 0.250
Au 0.750 0.000 0.250



[10]
La7Tl2In2: theoretical PXRD pattern (Cu Kα (weighted mean of Kα1 and Kα2)), based on a DFT-relaxed cell (PBE, Alexandria).

Largest 10 diffraction maxima, by angle, 2θ from 15° to 90°:
23.88 deg, d 3.726, intensity 71.5
25.90 deg, d 3.440, intensity 21.7
26.11 deg, d 3.413, intensity 33.5
30.25 deg, d 2.955, intensity 63.6
33.91 deg, d 2.643, intensity 54.4
34.65 deg, d 2.589, intensity 100.0
37.55 deg, d 2.395, intensity 23.6
38.90 deg, d 2.315, intensity 26.2
40.99 deg, d 2.202, intensity 23.2
42.75 deg, d 2.115, intensity 20.0

Atomic structure:
Unit cell a=7.268 b=7.268 c=7.861 alpha=90.00 beta=90.00 gamma=108.80
Positions (direct):
La 0.000 0.000 0.000
La 0.000 0.500 0.304
La 0.000 0.500 0.696
La 0.500 0.000 0.304
La 0.500 0.000 0.696
La 0.500 0.500 0.268
La 0.500 0.500 0.732
Tl 0.286 0.714 0.000
Tl 0.714 0.286 0.000
In 0.166 0.166 0.500
In 0.834 0.834 0.500



[11]
Sc3US4: theoretical PXRD pattern (Cu Kα (weighted mean of Kα1 and Kα2)), based on a DFT-relaxed cell (PBE, Alexandria).

Largest 10 diffraction maxima, by angle, 2θ from 15° to 90°:
28.17 deg, d 3.167, intensity 44.4
29.95 deg, d 2.983, intensity 58.1
33.25 deg, d 2.694, intensity 100.0
35.36 deg, d 2.538, intensity 54.4
45.99 deg, d 1.973, intensity 16.8
49.07 deg, d 1.857, intensity 34.3
49.44 deg, d 1.843, intensity 41.7
58.88 deg, d 1.569, intensity 16.5
60.89 deg, d 1.521, intensity 17.1
80.37 deg, d 1.195, intensity 26.1

Atomic structure:
Unit cell a=3.687 b=3.687 c=25.103 alpha=90.00 beta=90.00 gamma=120.00
Positions (direct):
Sc 0.000 0.000 0.000
Sc 0.000 0.000 0.500
Sc 0.333 0.667 0.123
Sc 0.333 0.667 0.377
Sc 0.667 0.333 0.623
Sc 0.667 0.333 0.877
U 0.333 0.667 0.750
U 0.667 0.333 0.250
S 0.000 0.000 0.180
S 0.000 0.000 0.320
S 0.000 0.000 0.680
S 0.000 0.000 0.820
S 0.333 0.667 0.560
S 0.333 0.667 0.940
S 0.667 0.333 0.060
S 0.667 0.333 0.440



[12]
SrAgPd3Pb: theoretical PXRD pattern (Cu Kα (weighted mean of Kα1 and Kα2)), based on a DFT-relaxed cell (PBE, Alexandria).

Largest 10 diffraction maxima, by angle, 2θ from 15° to 90°:
25.33 deg, d 3.517, intensity 25.8
29.08 deg, d 3.071, intensity 32.3
29.20 deg, d 3.059, intensity 18.7
32.54 deg, d 2.752, intensity 23.3
38.35 deg, d 2.347, intensity 80.5
39.03 deg, d 2.308, intensity 100.0
41.12 deg, d 2.195, intensity 67.9
52.01 deg, d 1.758, intensity 21.8
68.35 deg, d 1.372, intensity 29.9
73.98 deg, d 1.281, intensity 21.9

Atomic structure:
Unit cell a=7.007 b=7.007 c=7.033 alpha=90.00 beta=90.00 gamma=128.24
Positions (direct):
Sr 0.169 0.831 0.750
Sr 0.831 0.169 0.250
Ag 0.403 0.597 0.750
Ag 0.597 0.403 0.250
Pd 0.234 0.234 0.000
Pd 0.234 0.234 0.500
Pd 0.363 0.637 0.250
Pd 0.637 0.363 0.750
Pd 0.766 0.766 0.000
Pd 0.766 0.766 0.500
Pb 0.139 0.861 0.250
Pb 0.861 0.139 0.750